Calculated X-ray powder pattern of Ba7TiN6 for Cu Kα, from the PBE geometry in Alexandria.
Neutral-atom scattering factors, no anomalous dispersion.

Principal peaks in the range 2θ from 5° to 70°, by intensity:
d (Å), 2θ/deg, I (rel.)
3.160, 28.2, 100
2.829, 31.6, 24
3.319, 26.9, 22
2.844, 31.5, 19
2.792, 32.1, 19
1.825, 50.0, 13
3.185, 28.0, 12
1.864, 48.9, 10
2.663, 33.6, 10
2.367, 38.0, 10

Atomic structure:
```
Ba7TiN6
1.0
12.627 0.000 0.000
0.000 7.078 0.000
0.000 0.000 14.606
Ba Ti N
28 4 24
Direct
0.000 0.070 0.250
0.000 0.930 0.750
0.035 0.242 0.519
0.035 0.758 0.019
0.213 0.402 0.126
0.213 0.598 0.626
0.227 0.336 0.873
0.227 0.664 0.373
0.273 0.164 0.373
0.273 0.836 0.873
0.287 0.098 0.626
0.287 0.902 0.126
0.465 0.258 0.019
0.465 0.742 0.519
0.500 0.430 0.750
0.500 0.570 0.250
0.535 0.258 0.481
0.535 0.742 0.981
0.713 0.098 0.874
0.713 0.902 0.374
0.727 0.164 0.127
0.727 0.836 0.627
0.773 0.336 0.627
0.773 0.664 0.127
0.787 0.402 0.374
0.787 0.598 0.874
0.965 0.242 0.981
0.965 0.758 0.481
0.000 0.422 0.750
0.000 0.578 0.250
0.500 0.078 0.250
0.500 0.922 0.750
0.052 0.419 0.351
0.052 0.581 0.851
0.117 0.256 0.710
0.117 0.744 0.210
0.163 0.104 0.002
0.163 0.896 0.502
0.337 0.396 0.502
0.337 0.604 0.002
0.383 0.244 0.210
0.383 0.756 0.710
0.448 0.081 0.851
0.448 0.919 0.351
0.552 0.081 0.649
0.552 0.919 0.149
0.617 0.244 0.290
0.617 0.756 0.790
0.663 0.396 0.998
0.663 0.604 0.498
0.837 0.104 0.498
0.837 0.896 0.998
0.883 0.256 0.790
0.883 0.744 0.290
0.948 0.419 0.149
0.948 0.581 0.649
```

Calculated X-ray powder pattern of MgSbH for Cu Kα, from the PBE geometry in Alexandria.
Neutral-atom scattering factors, no anomalous dispersion.

Principal peaks in the range 2θ from 5° to 70°, by intensity:
d (Å), 2θ/deg, I (rel.)
4.260, 20.9, 100
7.656, 11.6, 69
2.247, 40.1, 44
3.826, 23.2, 30
2.152, 42.0, 28
2.132, 42.4, 27
3.493, 25.5, 26
3.004, 29.7, 26
2.552, 35.2, 23
4.172, 21.3, 22

Atomic structure:
```
MgSbH
1.0
4.202 -2.477 0.000
4.202 2.477 0.000
-0.915 0.000 7.656
Mg Sb H
2 2 2
Direct
0.000 0.000 0.000
0.572 0.572 0.299
0.237 0.237 0.325
0.335 0.335 0.964
0.564 0.717 0.653
0.717 0.564 0.653
```

Calculated X-ray powder pattern of SrGa2Pd8 for Cu Kα, from the PBE geometry in Alexandria.
Neutral-atom scattering factors, no anomalous dispersion.

Principal peaks in the range 2θ from 5° to 70°, by intensity:
d (Å), 2θ/deg, I (rel.)
2.268, 39.7, 100
8.341, 10.6, 68
1.911, 47.6, 40
1.938, 46.9, 38
2.703, 33.1, 37
4.170, 21.3, 33
3.475, 25.6, 20
2.780, 32.2, 19
1.420, 65.8, 16
1.575, 58.6, 13

Atomic structure:
```
SrGa2Pd8
1.0
5.405 0.000 0.000
0.000 5.405 0.000
0.000 0.000 8.341
Sr Ga Pd
1 2 8
Direct
0.000 0.000 0.000
0.000 0.500 0.500
0.500 0.000 0.500
0.252 0.252 0.298
0.252 0.252 0.702
0.252 0.748 0.298
0.252 0.748 0.702
0.748 0.252 0.298
0.748 0.252 0.702
0.748 0.748 0.298
0.748 0.748 0.702
```